[1]
Diffraction record for KMnP3HO10. The PXRD pattern is calculated, not measured: it uses DFT lattice parameters and positions (PBE+U) and Cu Kα (λ = 1.5418 Å).
Intensities are scaled so that the largest is 100.

Atomic structure:
```
data_KMnP3HO10
_cell_length_a 7.452
_cell_length_b 7.452
_cell_length_c 9.395
_cell_angle_alpha 106.70
_cell_angle_beta 106.70
_cell_angle_gamma 68.13
_symmetry_space_group_name_H-M 'P 1'
_symmetry_Int_Tables_number 1
loop_
_symmetry_equiv_pos_as_xyz
'x,y,z'
loop_
_atom_site_label
_atom_site_type_symbol
_atom_site_fract_x
_atom_site_fract_y
_atom_site_fract_z
_atom_site_occupancy
K1 K 0.057 0.943 0.750 1
K2 K 0.943 0.057 0.250 1
Mn1 Mn 0.000 0.500 0.000 1
Mn2 Mn 0.500 0.000 0.500 1
P1 P 0.226 0.359 0.705 1
P2 P 0.359 0.226 0.205 1
P3 P 0.371 0.629 0.250 1
P4 P 0.629 0.371 0.750 1
P5 P 0.641 0.774 0.795 1
P6 P 0.774 0.641 0.295 1
H1 H 0.000 0.500 0.500 1
H2 H 0.500 0.000 0.000 1
O1 O 0.113 0.528 0.619 1
O2 O 0.128 0.348 0.821 1
O3 O 0.153 0.278 0.100 1
O4 O 0.211 0.654 0.110 1
O5 O 0.278 0.153 0.600 1
O6 O 0.346 0.789 0.390 1
O7 O 0.348 0.128 0.321 1
O8 O 0.406 0.428 0.301 1
O9 O 0.428 0.406 0.801 1
O10 O 0.472 0.887 0.881 1
O11 O 0.528 0.113 0.119 1
O12 O 0.572 0.594 0.199 1
O13 O 0.594 0.572 0.699 1
O14 O 0.652 0.872 0.679 1
O15 O 0.654 0.211 0.610 1
O16 O 0.722 0.847 0.400 1
O17 O 0.789 0.346 0.890 1
O18 O 0.847 0.722 0.900 1
O19 O 0.872 0.652 0.179 1
O20 O 0.887 0.472 0.381 1
```

Largest 12 diffraction maxima, by intensity, 10° ≤ 2θ ≤ 90°:
2theta	Rel. int.
14.79	100
29.48	91
30.13	76
15.30	75
20.67	75
26.21	60
30.89	56
20.16	49
27.07	42
29.84	36
21.72	30
30.27	28

=====

[2]
Diffraction record for Al2VO7. The PXRD pattern is calculated, not measured: it uses DFT lattice parameters and positions (PBE+U) and Cu Kα (λ = 1.5418 Å).
Intensities are scaled so that the largest is 100.

Atomic structure:
```
data_Al2VO7
_cell_length_a 8.193
_cell_length_b 8.193
_cell_length_c 5.572
_cell_angle_alpha 108.92
_cell_angle_beta 108.92
_cell_angle_gamma 63.18
_symmetry_space_group_name_H-M 'P 1'
_symmetry_Int_Tables_number 1
loop_
_symmetry_equiv_pos_as_xyz
'x,y,z'
loop_
_atom_site_label
_atom_site_type_symbol
_atom_site_fract_x
_atom_site_fract_y
_atom_site_fract_z
_atom_site_occupancy
Al1 Al 0.191 0.191 0.432 1
Al2 Al 0.208 0.792 0.000 1
Al3 Al 0.792 0.208 0.000 1
Al4 Al 0.809 0.809 0.568 1
V1 V 0.347 0.347 0.080 1
V2 V 0.653 0.653 0.920 1
O1 O 0.055 0.738 0.685 1
O2 O 0.072 0.072 0.979 1
O3 O 0.249 0.249 0.772 1
O4 O 0.260 0.587 0.113 1
O5 O 0.262 0.945 0.315 1
O6 O 0.292 0.292 0.315 1
O7 O 0.413 0.740 0.887 1
O8 O 0.587 0.260 0.113 1
O9 O 0.708 0.708 0.685 1
O10 O 0.738 0.055 0.685 1
O11 O 0.740 0.413 0.887 1
O12 O 0.751 0.751 0.228 1
O13 O 0.928 0.928 0.021 1
O14 O 0.945 0.262 0.315 1
```

Largest 12 diffraction maxima, by intensity, 10° ≤ 2θ ≤ 90°:
2theta	Rel. int.
23.70	100
24.92	74
17.21	53
23.31	49
20.70	38
45.60	25
17.47	19
25.91	17
42.44	16
58.86	14
23.12	14
57.78	14

=====

[3]
Diffraction record for Li10CrSi2O10. The PXRD pattern is calculated, not measured: it uses DFT lattice parameters and positions (PBE+U) and Cu Kα (λ = 1.5418 Å).
Intensities are scaled so that the largest is 100.

Atomic structure:
```
data_Li10CrSi2O10
_cell_length_a 5.161
_cell_length_b 6.132
_cell_length_c 15.349
_cell_angle_alpha 78.53
_cell_angle_beta 80.88
_cell_angle_gamma 89.98
_symmetry_space_group_name_H-M 'P 1'
_symmetry_Int_Tables_number 1
loop_
_symmetry_equiv_pos_as_xyz
'x,y,z'
loop_
_atom_site_label
_atom_site_type_symbol
_atom_site_fract_x
_atom_site_fract_y
_atom_site_fract_z
_atom_site_occupancy
Li1 Li 0.000 0.000 0.000 1
Li2 Li 0.001 0.515 0.000 1
Li3 Li 0.074 0.830 0.849 1
Li4 Li 0.141 0.053 0.408 1
Li5 Li 0.163 0.647 0.651 1
Li6 Li 0.165 0.217 0.651 1
Li7 Li 0.182 0.696 0.128 1
Li8 Li 0.297 0.918 0.258 1
Li9 Li 0.298 0.343 0.259 1
Li10 Li 0.328 0.236 0.041 1
Li11 Li 0.468 0.890 0.740 1
Li12 Li 0.505 0.785 0.522 1
Li13 Li 0.506 0.211 0.521 1
Li14 Li 0.619 0.432 0.653 1
Li15 Li 0.637 0.914 0.128 1
Li16 Li 0.638 0.480 0.128 1
Li17 Li 0.664 0.073 0.372 1
Li18 Li 0.721 0.293 0.930 1
Li19 Li 0.797 0.610 0.779 1
Li20 Li 0.800 0.124 0.779 1
Cr1 Cr 0.201 0.529 0.460 1
Cr2 Cr 0.607 0.602 0.317 1
Si1 Si 0.270 0.342 0.827 1
Si2 Si 0.528 0.781 0.952 1
Si3 Si 0.892 0.962 0.590 1
Si4 Si 0.909 0.164 0.190 1
O1 O 0.004 0.116 0.290 1
O2 O 0.024 0.411 0.133 1
O3 O 0.026 0.977 0.132 1
O4 O 0.118 0.290 0.933 1
O5 O 0.183 0.592 0.776 1
O6 O 0.185 0.142 0.776 1
O7 O 0.206 0.777 0.962 1
O8 O 0.217 0.968 0.580 1
O9 O 0.349 0.474 0.573 1
O10 O 0.401 0.802 0.389 1
O11 O 0.404 0.313 0.390 1
O12 O 0.455 0.660 0.206 1
O13 O 0.585 0.160 0.200 1
O14 O 0.592 0.348 0.817 1
O15 O 0.614 0.531 0.003 1
O16 O 0.615 0.980 0.003 1
O17 O 0.680 0.834 0.846 1
O18 O 0.776 0.718 0.648 1
O19 O 0.778 0.153 0.647 1
O20 O 0.798 0.012 0.490 1
```

Largest 12 diffraction maxima, by intensity, 10° ≤ 2θ ≤ 90°:
2theta	Rel. int.
22.52	100
20.82	70
19.48	46
33.00	37
49.58	35
33.26	34
34.41	32
22.94	30
58.11	30
29.12	28
28.82	28
36.34	24

=====

[4]
Diffraction record for Na4MgV4O10. The PXRD pattern is calculated, not measured: it uses DFT lattice parameters and positions (PBE+U) and Cu Kα (λ = 1.5418 Å).
Intensities are scaled so that the largest is 100.

Atomic structure:
```
data_Na4MgV4O10
_cell_length_a 5.647
_cell_length_b 5.663
_cell_length_c 8.267
_cell_angle_alpha 108.37
_cell_angle_beta 107.04
_cell_angle_gamma 90.81
_symmetry_space_group_name_H-M 'P 1'
_symmetry_Int_Tables_number 1
loop_
_symmetry_equiv_pos_as_xyz
'x,y,z'
loop_
_atom_site_label
_atom_site_type_symbol
_atom_site_fract_x
_atom_site_fract_y
_atom_site_fract_z
_atom_site_occupancy
Na1 Na 0.000 0.000 0.000 1
Na2 Na 0.080 0.103 0.390 1
Na3 Na 0.501 0.450 0.009 1
Na4 Na 0.718 0.728 0.420 1
Mg1 Mg 0.491 0.360 0.520 1
V1 V 0.093 0.575 0.211 1
V2 V 0.405 0.789 0.720 1
V3 V 0.584 0.060 0.201 1
V4 V 0.965 0.416 0.731 1
O1 O 0.010 0.375 0.944 1
O2 O 0.220 0.803 0.513 1
O3 O 0.287 0.451 0.689 1
O4 O 0.342 0.829 0.203 1
O5 O 0.344 0.343 0.274 1
O6 O 0.425 0.002 0.934 1
O7 O 0.719 0.673 0.695 1
O8 O 0.755 0.158 0.506 1
O9 O 0.813 0.312 0.220 1
O10 O 0.813 0.795 0.168 1
```

Largest 12 diffraction maxima, by intensity, 10° ≤ 2θ ≤ 90°:
2theta	Rel. int.
22.42	100
33.03	77
31.61	76
31.73	72
45.03	64
23.89	59
32.47	56
22.08	53
33.87	46
48.90	43
45.77	33
11.88	29